Entry 1:
Nb7As4: calculated XRD peak list (Cu Kα, 1.54184 Å), based on a structure optimized by DFT (PBE).

Principal peaks in the range 2θ from 15° to 90°, low angle first:
Position (°2θ)	intensity
34.02	55
35.64	62
37.87	85
38.47	30
38.58	29
38.84	54
39.09	100
39.24	64
41.68	34
51.46	60

```
Nb7As4
1.0
7.783 -1.776 0.000
7.783 1.776 0.000
-3.660 0.000 13.825
Nb As
14 8
Direct
0.000 0.000 0.000
0.003 0.003 0.663
0.177 0.177 0.542
0.196 0.196 0.310
0.211 0.211 0.800
0.336 0.336 0.029
0.431 0.431 0.826
0.500 0.500 0.500
0.569 0.569 0.174
0.664 0.664 0.971
0.789 0.789 0.200
0.804 0.804 0.690
0.823 0.823 0.458
0.997 0.997 0.337
0.064 0.064 0.849
0.173 0.173 0.111
0.370 0.370 0.335
0.373 0.373 0.602
0.627 0.627 0.398
0.630 0.630 0.665
0.827 0.827 0.889
0.936 0.936 0.151
```

Entry 2:
Nb9AsO25: calculated XRD peak list (Cu Kα, 1.54184 Å), based on a structure optimized by DFT (PBE).

Principal peaks in the range 2θ from 15° to 90°, low angle first:
Position (°2θ)	intensity
17.55	22
23.58	47
24.92	100
26.12	22
30.61	40
32.65	22
35.53	19
43.11	21
51.79	23
53.74	15

```
Nb9AsO25
1.0
11.300 -1.941 0.000
11.300 1.941 0.000
-11.300 0.000 11.300
Nb As O
9 1 25
Direct
0.000 0.000 0.000
0.145 0.069 0.325
0.146 0.085 0.789
0.256 0.180 0.111
0.371 0.283 0.442
0.717 0.629 0.558
0.820 0.744 0.889
0.915 0.854 0.211
0.931 0.855 0.675
0.288 0.712 0.500
0.026 0.951 0.269
0.049 0.974 0.731
0.086 0.015 0.167
0.123 0.026 0.626
0.152 0.081 0.066
0.192 0.123 0.510
0.217 0.134 0.958
0.251 0.184 0.393
0.288 0.210 0.861
0.319 0.243 0.293
0.394 0.312 0.195
0.425 0.352 0.637
0.476 0.422 0.523
0.528 0.472 0.000
0.578 0.524 0.477
0.648 0.575 0.363
0.688 0.606 0.805
0.757 0.681 0.707
0.790 0.712 0.139
0.816 0.749 0.607
0.866 0.783 0.042
0.877 0.808 0.490
0.919 0.848 0.934
0.974 0.877 0.374
0.985 0.914 0.833
```